1.
Structure and computed powder XRD pattern of Ca2HgPd3 (a crystal structure in Alexandria, relaxed with GGA-PBE; copper Kα).

Atomic structure:
```
Ca2HgPd3
1.0
4.964 0.000 0.000
0.000 5.592 0.000
0.000 0.000 9.500
Ca Hg Pd
4 2 6
Direct
0.000 0.000 0.180
0.000 0.000 0.820
0.500 0.500 0.320
0.500 0.500 0.680
0.000 0.000 0.500
0.500 0.500 0.000
0.000 0.500 0.145
0.000 0.500 0.500
0.000 0.500 0.855
0.500 0.000 0.000
0.500 0.000 0.355
0.500 0.000 0.645
```

Main lines, by angle (5° ≤ 2θ ≤ 70°):
- 2θ 18.4, I = 43
- 2θ 32.0, I = 61
- 2θ 33.6, I = 100
- 2θ 36.2, I = 44
- 2θ 47.1, I = 77
- 2θ 49.1, I = 36

=====

2.
Structure and computed powder XRD pattern of La2Pr3Ir3 (a crystal structure in Alexandria, relaxed with GGA-PBE; copper Kα).

Atomic structure:
```
La2Pr3Ir3
1.0
6.660 -2.872 0.000
6.660 2.872 0.000
-0.022 0.000 14.080
La Pr Ir
4 6 6
Direct
0.000 0.000 0.000
0.003 0.003 0.636
0.343 0.343 0.498
0.620 0.620 0.186
0.344 0.344 0.134
0.419 0.419 0.819
0.619 0.619 0.451
0.725 0.725 0.950
0.726 0.726 0.685
0.924 0.924 0.318
0.461 0.461 0.315
0.520 0.520 0.629
0.521 0.521 0.008
0.820 0.820 0.129
0.825 0.825 0.507
0.887 0.887 0.818
```

Main lines, by angle (5° ≤ 2θ ≤ 70°):
- 2θ 13.3, I = 61
- 2θ 16.8, I = 87
- 2θ 23.2, I = 64
- 2θ 31.1, I = 100
- 2θ 33.0, I = 74
- 2θ 46.0, I = 59

=====

3.
Structure and computed powder XRD pattern of HfMg6BO7 (a crystal structure in Alexandria, relaxed with GGA-PBE; copper Kα).

Atomic structure:
```
HfMg6BO7
1.0
4.061 0.000 0.000
0.000 4.061 0.000
0.000 0.000 10.624
Hf Mg B O
1 6 1 7
Direct
0.000 0.000 0.000
0.000 0.000 0.524
0.000 0.500 0.282
0.000 0.500 0.752
0.500 0.000 0.282
0.500 0.000 0.752
0.500 0.500 0.511
0.500 0.500 0.152
0.000 0.000 0.715
0.000 0.500 0.473
0.000 0.500 0.939
0.500 0.000 0.473
0.500 0.000 0.939
0.500 0.500 0.290
0.500 0.500 0.699
```

Main lines, by angle (5° ≤ 2θ ≤ 70°):
- 2θ 8.3, I = 77
- 2θ 21.9, I = 40
- 2θ 23.5, I = 100
- 2θ 27.6, I = 76
- 2θ 35.5, I = 62
- 2θ 44.6, I = 56